The following is a computed X-ray powder pattern of MgH4Ir3. It was derived from a DFT-relaxed cell (PBE, Alexandria), using Cu Kα.
Peak positions follow from Bragg's law for the DFT cell and can differ from measured ones.

Cell and atoms:
Cell: 2.799 4.821 6.692 Å, 71.55 77.96 73.21°
Space group P1 (No. 1)
Inequivalent atoms, fractional coordinates:
1 Mg 0.000 0.000 0.000 x1
2 H 0.149 0.263 0.441 x1
3 H 0.242 0.560 0.955 x1
4 H 0.334 0.153 0.181 x1
5 H 0.989 0.707 0.314 x1
6 Ir 0.359 0.880 0.403 x1
7 Ir 0.565 0.248 0.623 x1
8 Ir 0.796 0.637 0.772 x1

Peak list (10 most intense, 2θ = 5–70°, low angle first)
two_theta	intensity
14.07	1000
27.58	193
33.75	141
38.45	593
39.17	266
39.36	274
42.31	193
43.74	181
46.56	349
47.56	143